Diffraction record for TaV3Mo6. The powder diffractogram is calculated, not measured: it uses a crystal structure in Alexandria, relaxed with GGA-PBE and Cu Kα, 1.54184 Å.
Peak positions follow from Bragg's law for the DFT cell and can differ from measured ones.

Main lines, in order of falling intensity (2θ from 15° to 90°):
- 2θ 40.5, d = 2.229 Å, intensity 100.0, hkl 1 -2 2
- 2θ 41.0, d = 2.200 Å, intensity 95.2, hkl 0 4 0
- 2θ 40.3, d = 2.237 Å, intensity 50.6, hkl 1 2 2
- 2θ 41.1, d = 2.194 Å, intensity 47.3, hkl 0 2 -5
- 2θ 59.0, d = 1.565 Å, intensity 31.2, hkl 1 4 -3
- 2θ 74.5, d = 1.273 Å, intensity 23.4, hkl 1 -4 7

Crystal structure
Unit cell a=2.7543 b=8.7923 c=12.7243 alpha=89.74 beta=85.71 gamma=89.85
Positions (direct):
Ta 0.1499 0.1310 0.0528
Ta 0.8501 0.8690 0.9472
V 0.2512 0.3757 0.7477
V 0.3478 0.1246 0.4503
V 0.4476 0.3826 0.1534
V 0.5524 0.6174 0.8466
V 0.6522 0.8754 0.5497
V 0.7488 0.6243 0.2523
Mo 0.0465 0.3781 0.3500
Mo 0.0489 0.8759 0.3546
Mo 0.1514 0.6198 0.0535
Mo 0.2554 0.8704 0.7447
Mo 0.3473 0.6275 0.4501
Mo 0.4458 0.8707 0.1554
Mo 0.5542 0.1293 0.8446
Mo 0.6527 0.3725 0.5499
Mo 0.7446 0.1296 0.2553
Mo 0.8486 0.3802 0.9465
Mo 0.9511 0.1241 0.6454
Mo 0.9535 0.6219 0.6500